(1)
Pm2YMg9: calculated X-ray powder pattern (Cu Kα, 1.54184 Å), based on a PBE-relaxed structure.

Most intense lines, 15 to 90 degrees two-theta, by angle:
Position (°2θ)	Rel. int.
17.1	57
27.2	84
29.4	82
29.7	48
34.3	42
34.8	100

Crystal structure
a b c (Å): 10.4073 10.4073 10.4073
angles (deg): 33.91 33.91 33.91
Positions (direct):
Pm (0.1416, 0.1416, 0.1416)
Pm (0.8584, 0.8584, 0.8584)
Y (0.0000, 0.0000, 0.0000)
Mg (0.0794, 0.5852, 0.5852)
Mg (0.3340, 0.3340, 0.3340)
Mg (0.4148, 0.4148, 0.9206)
Mg (0.4148, 0.9206, 0.4148)
Mg (0.5000, 0.5000, 0.5000)
Mg (0.5852, 0.0794, 0.5852)
Mg (0.5852, 0.5852, 0.0794)
Mg (0.6660, 0.6660, 0.6660)
Mg (0.9206, 0.4148, 0.4148)

=====

(2)
Pm6Y2Mg: calculated X-ray powder pattern (Cu Kα, 1.54184 Å), based on a PBE-relaxed structure.

Most intense lines, 15 to 90 degrees two-theta, by angle:
Position (°2θ)	Rel. int.
27.2	20
29.0	16
31.8	100
32.6	34
33.4	38
64.6	18

Crystal structure
a b c (Å): 11.5644 11.5644 11.5644
angles (deg): 149.12 131.59 58.53
Positions (direct):
Pm (0.0043, 0.4292, 0.7758)
Pm (0.0812, 0.0812, 0.0000)
Pm (0.1534, 0.9292, 0.4249)
Pm (0.3466, 0.7715, 0.7758)
Pm (0.4188, 0.4188, 0.0000)
Pm (0.4957, 0.2715, 0.4249)
Pm (0.5043, 0.7285, 0.5751)
Pm (0.5812, 0.5812, 0.0000)
Pm (0.6534, 0.2285, 0.2242)
Pm (0.8466, 0.0708, 0.5751)
Pm (0.9188, 0.9188, 0.0000)
Pm (0.9957, 0.5708, 0.2242)
Y (0.1704, 0.4457, 0.6161)
Y (0.3296, 0.9457, 0.2753)
Y (0.6704, 0.0543, 0.7247)
Y (0.8296, 0.5543, 0.3839)
Mg (0.2500, 0.2500, 0.0000)
Mg (0.7500, 0.7500, 0.0000)

=====

(3)
Pm8Y3Mg: calculated X-ray powder pattern (Cu Kα, 1.54184 Å), based on a PBE-relaxed structure.

Most intense lines, 15 to 90 degrees two-theta, by angle:
Position (°2θ)	Rel. int.
24.1	100
25.7	98
29.0	68
31.2	78
36.2	69
44.5	67

Crystal structure
a b c (Å): 8.4100 8.4100 8.4100
angles (deg): 117.61 117.61 94.20
Positions (direct):
Pm (0.1243, 0.1243, 0.7474)
Pm (0.2488, 0.2488, 0.5040)
Pm (0.2552, 0.7512, 0.0000)
Pm (0.3769, 0.3769, 0.2526)
Pm (0.6231, 0.8757, 0.0000)
Pm (0.7448, 0.7448, 0.4960)
Pm (0.7512, 0.2552, 0.0000)
Pm (0.8757, 0.6231, 0.0000)
Y (0.0000, 0.0000, 0.0000)
Y (0.2500, 0.7500, 0.5000)
Y (0.7500, 0.2500, 0.5000)
Mg (0.5000, 0.5000, 0.0000)

=====

(4)
PmYMg4: calculated X-ray powder pattern (Cu Kα, 1.54184 Å), based on a PBE-relaxed structure.

Most intense lines, 15 to 90 degrees two-theta, by angle:
Position (°2θ)	Rel. int.
26.5	55
26.7	54
32.7	100
32.9	100
36.7	74
56.0	41

Crystal structure
a b c (Å): 7.0773 7.0773 6.8986
angles (deg): 104.11 104.11 28.46
Positions (direct):
Pm (0.0000, 0.0000, 0.0000)
Y (0.0000, 0.0000, 0.5000)
Mg (0.3224, 0.3224, 0.1647)
Mg (0.3247, 0.3247, 0.6588)
Mg (0.6753, 0.6753, 0.3412)
Mg (0.6776, 0.6776, 0.8353)

=====

(5)
Pm4Y7Mg: calculated X-ray powder pattern (Cu Kα, 1.54184 Å), based on a PBE-relaxed structure.

Most intense lines, 15 to 90 degrees two-theta, by angle:
Position (°2θ)	Rel. int.
29.3	41
31.1	52
31.7	100
33.4	85
50.5	39
60.4	30

Crystal structure
a b c (Å): 6.2642 7.2341 8.8738
angles (deg): 90.00 103.49 90.00
Positions (direct):
Pm (0.2210, 0.2461, 0.1677)
Pm (0.2210, 0.7539, 0.1677)
Pm (0.7790, 0.2461, 0.8323)
Pm (0.7790, 0.7539, 0.8323)
Y (0.0000, 0.2515, 0.5000)
Y (0.0000, 0.7485, 0.5000)
Y (0.2741, 0.5000, 0.8326)
Y (0.2834, 0.0000, 0.8316)
Y (0.5000, 0.5000, 0.5000)
Y (0.7166, 0.0000, 0.1684)
Y (0.7259, 0.5000, 0.1674)
Mg (0.5000, 0.0000, 0.5000)

=====

(6)
PmY4Mg: calculated X-ray powder pattern (Cu Kα, 1.54184 Å), based on a PBE-relaxed structure.

Most intense lines, 15 to 90 degrees two-theta, by angle:
Position (°2θ)	Rel. int.
27.6	16
31.0	100
35.0	38
50.3	13
52.5	18
60.3	29

Crystal structure
a b c (Å): 3.6305 3.6305 14.2237
angles (deg): 90.00 90.00 90.00
Positions (direct):
Pm (0.0000, 0.0000, 0.0000)
Y (0.0000, 0.0000, 0.3523)
Y (0.0000, 0.0000, 0.6477)
Y (0.5000, 0.5000, 0.1776)
Y (0.5000, 0.5000, 0.8224)
Mg (0.5000, 0.5000, 0.5000)

=====

(7)
Pm6Y2Mg: calculated X-ray powder pattern (Cu Kα, 1.54184 Å), based on a PBE-relaxed structure.

Most intense lines, 15 to 90 degrees two-theta, by angle:
Position (°2θ)	Rel. int.
30.5	100
35.2	17
35.4	33
50.7	24
60.2	14
60.5	28

Crystal structure
a b c (Å): 10.7627 10.7627 5.1034
angles (deg): 90.00 90.00 90.00
Positions (direct):
Pm (0.0011, 0.3335, 0.0000)
Pm (0.1658, 0.1658, 0.5000)
Pm (0.1665, 0.5011, 0.5000)
Pm (0.3335, 0.0011, 0.0000)
Pm (0.3342, 0.6658, 0.0000)
Pm (0.4989, 0.8335, 0.5000)
Pm (0.5011, 0.1665, 0.5000)
Pm (0.6658, 0.3342, 0.0000)
Pm (0.6665, 0.9989, 0.0000)
Pm (0.8335, 0.4989, 0.5000)
Pm (0.8342, 0.8342, 0.5000)
Pm (0.9989, 0.6665, 0.0000)
Y (0.1646, 0.8354, 0.5000)
Y (0.3354, 0.3354, 0.0000)
Y (0.6646, 0.6646, 0.0000)
Y (0.8354, 0.1646, 0.5000)
Mg (0.0000, 0.0000, 0.0000)
Mg (0.5000, 0.5000, 0.5000)

=====

(8)
Pm7Y4Mg: calculated X-ray powder pattern (Cu Kα, 1.54184 Å), based on a PBE-relaxed structure.

Most intense lines, 15 to 90 degrees two-theta, by angle:
Position (°2θ)	Rel. int.
30.3	100
30.7	31
35.3	66
50.5	24
51.0	21
60.3	27

Crystal structure
a b c (Å): 3.6145 3.6145 34.9782
angles (deg): 90.00 90.00 120.00
Positions (direct):
Pm (0.0000, 0.0000, 0.0000)
Pm (0.0000, 0.0000, 0.2533)
Pm (0.0000, 0.0000, 0.7467)
Pm (0.3333, 0.6667, 0.1679)
Pm (0.3333, 0.6667, 0.4212)
Pm (0.6667, 0.3333, 0.5788)
Pm (0.6667, 0.3333, 0.8321)
Y (0.3333, 0.6667, 0.6622)
Y (0.3333, 0.6667, 0.9162)
Y (0.6667, 0.3333, 0.0838)
Y (0.6667, 0.3333, 0.3378)
Mg (0.0000, 0.0000, 0.5000)